(1)
# PmZrNbN3
Calculated powder diffractogram, Cu Kα (λ = 1.5418 Å). Input: DFT lattice parameters and positions (PBE).
Intensities are scaled so that the largest is 100.

Cell and atoms:
Lattice parameters (Å, degrees): 5.722 3.314 8.524 90.00 102.82 90.00
Element x y z (fractional)
Pm1 0.147 0.250 0.191
Pm2 0.853 0.750 0.809
Zr1 0.267 0.750 0.548
Zr2 0.733 0.250 0.452
Nb1 0.376 0.250 0.866
Nb2 0.624 0.750 0.134
N1 0.062 0.250 0.658
N2 0.252 0.750 0.989
N3 0.462 0.750 0.345
N4 0.538 0.250 0.655
N5 0.748 0.250 0.011
N6 0.938 0.750 0.342

Top 10 peaks for 2θ = 10–90°, by angle:
2θ/deg  intensity
31.47  46.6
32.31  31.2
32.75  20.2
34.41  87.6
36.15  100.0
42.87  25.5
51.94  16.0
55.44  17.5
56.78  22.7
65.68  14.1


(2)
# BaTlAg2Cl8
Calculated powder diffractogram, Cu Kα (λ = 1.5418 Å). Input: DFT lattice parameters and positions (PBE).
Intensities are scaled so that the largest is 100.

Cell and atoms:
Lattice parameters (Å, degrees): 8.751 8.751 8.751 133.44 133.44 67.96
Element x y z (fractional)
Ba1 0.000 0.000 0.000
Tl1 0.750 0.250 0.500
Ag1 0.250 0.750 0.500
Ag2 0.500 0.500 0.000
Cl1 0.006 0.614 0.004
Cl2 0.142 0.284 0.564
Cl3 0.386 0.390 0.392
Cl4 0.422 0.858 0.142
Cl5 0.610 0.002 0.996
Cl6 0.716 0.280 0.858
Cl7 0.720 0.578 0.436
Cl8 0.998 0.994 0.608

Top 10 peaks for 2θ = 10–90°, by angle:
2θ/deg  intensity
21.91  100.0
24.53  20.3
25.76  14.9
35.87  31.8
36.75  21.6
41.65  22.7
43.20  45.3
44.68  17.0
56.74  13.5
57.35  13.5


(3)
# Sr2AlPdO5
Calculated powder diffractogram, Cu Kα (λ = 1.5418 Å). Input: DFT lattice parameters and positions (PBE).
Intensities are scaled so that the largest is 100.

Cell and atoms:
Lattice parameters (Å, degrees): 7.186 7.186 10.361 90.00 90.00 152.45
Element x y z (fractional)
Sr1 0.111 0.889 0.500
Sr2 0.138 0.862 0.137
Sr3 0.862 0.138 0.637
Sr4 0.889 0.111 0.000
Al1 0.438 0.562 0.261
Al2 0.562 0.438 0.761
Pd1 0.210 0.790 0.847
Pd2 0.790 0.210 0.347
O1 0.055 0.945 0.837
O2 0.288 0.712 0.467
O3 0.315 0.685 0.203
O4 0.354 0.646 0.829
O5 0.497 0.503 0.618
O6 0.503 0.497 0.118
O7 0.646 0.354 0.329
O8 0.685 0.315 0.703
O9 0.712 0.288 0.967
O10 0.945 0.055 0.337

Top 10 peaks for 2θ = 10–90°, by angle:
2θ/deg  intensity
12.68  30.2
21.36  24.0
28.84  62.5
30.90  24.1
32.47  32.4
33.64  31.1
37.55  100.0
39.71  34.8
45.43  33.0
61.98  22.0


(4)
# Rb2Se5
Calculated powder diffractogram, Cu Kα (λ = 1.5418 Å). Input: DFT lattice parameters and positions (PBE).
Intensities are scaled so that the largest is 100.

Cell and atoms:
Lattice parameters (Å, degrees): 6.880 7.180 20.152 90.00 90.00 90.00
Element x y z (fractional)
Rb1 0.089 0.187 0.181
Rb2 0.129 0.427 0.505
Rb3 0.371 0.573 0.005
Rb4 0.411 0.813 0.681
Rb5 0.589 0.313 0.819
Rb6 0.629 0.073 0.495
Rb7 0.871 0.927 0.995
Rb8 0.911 0.687 0.319
Se1 0.040 0.723 0.811
Se2 0.070 0.420 0.862
Se3 0.088 0.678 0.153
Se4 0.106 0.919 0.538
Se5 0.237 0.079 0.370
Se6 0.263 0.921 0.870
Se7 0.394 0.081 0.038
Se8 0.412 0.322 0.653
Se9 0.430 0.580 0.362
Se10 0.460 0.277 0.311
Se11 0.540 0.777 0.189
Se12 0.570 0.080 0.138
Se13 0.588 0.822 0.847
Se14 0.606 0.581 0.462
Se15 0.737 0.421 0.630
Se16 0.763 0.579 0.130
Se17 0.894 0.419 0.962
Se18 0.912 0.178 0.347
Se19 0.930 0.920 0.638
Se20 0.960 0.223 0.689

Top 10 peaks for 2θ = 10–90°, by angle:
2θ/deg  intensity
18.41  28.5
22.26  20.1
25.19  76.7
26.35  35.6
26.54  54.8
29.16  100.0
29.42  52.0
30.14  20.6
32.17  21.8
54.57  20.1


(5)
# Ti2NbIr5
Calculated powder diffractogram, Cu Kα (λ = 1.5418 Å). Input: DFT lattice parameters and positions (PBE).
Intensities are scaled so that the largest is 100.

Cell and atoms:
Lattice parameters (Å, degrees): 5.547 11.009 3.996 90.00 90.00 90.00
Element x y z (fractional)
Ti1 0.195 0.141 0.000
Ti2 0.305 0.641 0.000
Ti3 0.695 0.359 0.000
Ti4 0.805 0.859 0.000
Nb1 0.000 0.500 0.500
Nb2 0.500 0.000 0.500
Ir1 0.000 0.000 0.500
Ir2 0.037 0.746 0.500
Ir3 0.225 0.381 0.000
Ir4 0.275 0.881 0.000
Ir5 0.463 0.246 0.500
Ir6 0.500 0.500 0.500
Ir7 0.537 0.754 0.500
Ir8 0.725 0.119 0.000
Ir9 0.775 0.619 0.000
Ir10 0.963 0.254 0.500

Top 10 peaks for 2θ = 10–90°, by angle:
2θ/deg  intensity
22.76  25.5
32.04  23.5
39.55  89.5
39.77  100.0
45.39  35.2
46.48  55.4
66.99  37.2
68.14  14.1
81.75  20.3
85.72  15.5


(6)
# SrRh2F
Calculated powder diffractogram, Cu Kα (λ = 1.5418 Å). Input: DFT lattice parameters and positions (PBE).
Intensities are scaled so that the largest is 100.

Cell and atoms:
Lattice parameters (Å, degrees): 4.795 4.795 15.946 90.00 90.00 90.00
Element x y z (fractional)
Sr1 0.000 0.250 0.375
Sr2 0.000 0.750 0.625
Sr3 0.500 0.250 0.125
Sr4 0.500 0.750 0.875
Rh1 0.000 0.000 0.000
Rh2 0.000 0.500 0.000
Rh3 0.250 0.250 0.750
Rh4 0.250 0.750 0.250
Rh5 0.500 0.000 0.500
Rh6 0.500 0.500 0.500
Rh7 0.750 0.250 0.750
Rh8 0.750 0.750 0.250
F1 0.000 0.250 0.875
F2 0.000 0.750 0.125
F3 0.500 0.250 0.625
F4 0.500 0.750 0.375

Top 10 peaks for 2θ = 10–90°, by angle:
2θ/deg  intensity
19.33  27.7
22.30  15.1
25.01  100.0
28.61  35.5
33.75  45.9
39.24  56.9
42.53  48.3
45.51  21.0
51.32  29.4
59.21  55.6